This entry pairs a crystal structure of Pm8IrOs3Cl4 with its theoretical X-ray diffraction stick pattern. Radiation: Cu Kα, 1.54184 Å. Structure: the PBE geometry in Alexandria.

Structural model:
Cell lengths 8.870, 8.870, 8.870 Å; angles 54.75, 54.75, 54.75 degrees
Positions (direct):
Pm 0.231 0.737 0.737
Pm 0.236 0.236 0.236
Pm 0.263 0.263 0.769
Pm 0.263 0.769 0.263
Pm 0.737 0.231 0.737
Pm 0.737 0.737 0.231
Pm 0.764 0.764 0.764
Pm 0.769 0.263 0.263
Ir 0.500 0.500 0.500
Os 0.000 0.000 0.500
Os 0.000 0.500 0.000
Os 0.500 0.000 0.000
Cl 0.000 0.000 0.000
Cl 0.000 0.500 0.500
Cl 0.500 0.000 0.500
Cl 0.500 0.500 0.000

Main lines, in order of rising 2θ (15 to 90 degrees two-theta):
- 2θ 29.85, I 100
- 2θ 37.80, I 24
- 2θ 40.97, I 33
- 2θ 44.43, I 36
- 2θ 46.12, I 14
- 2θ 51.55, I 15
- 2θ 54.45, I 18
- 2θ 62.02, I 10
- 2θ 72.81, I 15
- 2θ 79.16, I 10